Theoretical PXRD pattern
Compound: TlVSeO5
Radiation: Cu Kα (λ = 1.5418 Å)
Structure: DFT lattice parameters and positions (GGA+U)
Intensities are scaled so that the largest is 1000.

Structural model:
Cell: 7.1900 8.8773 8.0308 Å, 90.00 90.00 90.00°
Fractional coordinates of all 32 atoms:
Tl: 0.0269 0.1058 0.0000
Tl: 0.4731 0.6058 0.5000
Tl: 0.5269 0.3942 0.0000
Tl: 0.9731 0.8942 0.5000
V: 0.2104 0.7423 0.8942
V: 0.2896 0.2423 0.3942
V: 0.7104 0.7577 0.8942
V: 0.7896 0.2577 0.3942
Se: 0.0441 0.5166 0.1841
Se: 0.4559 0.0166 0.6841
Se: 0.5441 0.9834 0.1841
Se: 0.9559 0.4834 0.6841
O: 0.0649 0.1810 0.3589
O: 0.1110 0.5457 0.9746
O: 0.1108 0.6273 0.6557
O: 0.2197 0.8221 0.0810
O: 0.2490 0.9220 0.7469
O: 0.2510 0.4220 0.2469
O: 0.2803 0.3221 0.5810
O: 0.3890 0.0457 0.4746
O: 0.3892 0.1273 0.1557
O: 0.4351 0.6810 0.8589
O: 0.5649 0.3190 0.3589
O: 0.6108 0.8727 0.6557
O: 0.6110 0.9543 0.9746
O: 0.7197 0.6779 0.0810
O: 0.7490 0.5780 0.7469
O: 0.7510 0.0780 0.2469
O: 0.7803 0.1779 0.5810
O: 0.8892 0.3727 0.1557
O: 0.8890 0.4543 0.4746
O: 0.9351 0.8190 0.8589

Principal peaks in the range 10 to 80 degrees two-theta, in order of rising 2θ:
Position (°2θ)  I/Imax  (hkl)
14.88  265  0 1 1
22.14  235  0 0 2
24.77  281  2 0 0
26.07  919  1 2 1
27.35  1000  1 1 2
29.01  490  2 1 1
32.24  345  0 3 1
41.34  321  1 2 3
45.22  247  3 1 2
48.17  210  1 1 4